The following is a simulated powder XRD pattern of Pa2CoRh2. It was derived from a GGA-PBE-relaxed structure, using a wavelength of 1.5418 Å.
Intensities are scaled so that the largest is 100.

Structure:
a b c (Å): 6.2640 8.0172 3.7701
angles (deg): 90.00 90.00 90.00
Space group Pbam (No. 55)
Inequivalent atoms, fractional coordinates:
Pa (0.2395, 0.1139, 0.0000) [4 per cell]
Co (0.0000, 0.5000, 0.5000) [2 per cell]
Rh (0.1132, 0.8380, 0.5000) [4 per cell]

Largest 12 diffraction maxima, by angle, 2θ = 10–80°:
| two_theta | Rel. int. | (hkl) |
| --- | --- | --- |
| 26.4 | 34 | 1 2 0 |
| 28.5 | 17 | 2 0 0 |
| 35.7 | 100 | 1 2 1 |
| 37.3 | 40 | 2 0 1 |
| 39.0 | 11 | 2 1 1 |
| 45.2 | 10 | 0 4 0 |
| 48.3 | 17 | 0 0 2 |
| 49.2 | 23 | 3 2 0 |
| 54.3 | 11 | 2 4 0 |
| 55.9 | 10 | 1 2 2 |
| 60.0 | 11 | 2 4 1 |
| 71.4 | 15 | 3 2 2 |